Starting from a structure optimized by DFT (GGA-PBE), the XRD peak list of ThCl was computed for copper Kα.

Structure:
```
data_ThCl
_chemical_formula_sum 'Th2 Cl2'
_symmetry_space_group_name_H-M 'P 63 m c'
_symmetry_Int_Tables_number 186
_symmetry_space_group_name_Hall 'P 6c -2c'
_cell_length_a 3.5670
_cell_length_b 3.5670
_cell_length_c 10.1508
_cell_angle_alpha 90.00
_cell_angle_beta 90.00
_cell_angle_gamma 120.00
loop_
_atom_site_label
_atom_site_fract_x
_atom_site_fract_y
_atom_site_fract_z
Th1 0.3333 0.6667 0.0000
Cl1 0.3333 0.6667 0.7149
```

Most intense lines, 2θ = 10–80°, by angle:
- 2θ 17.47, I = 61, (0 0 2)
- 2θ 28.90, I = 27, (1 0 0)
- 2θ 30.24, I = 100, (1 0 1)
- 2θ 35.37, I = 19, (0 0 4)
- 2θ 39.50, I = 63, (1 0 3)
- 2θ 51.22, I = 22, (1 1 0)
- 2θ 54.54, I = 21, (1 1 2)
- 2θ 63.78, I = 21, (1 1 4)